Simulated powder diffractogram of Tb2Fe17 for Cu Kα X-rays, from a crystal structure in Alexandria, relaxed with PBE.
Kinematic intensities with the Lorentz-polarization factor, no thermal factor.

Principal peaks in the range 2θ = 15–90°, low angle first:
| d (Å) | 2theta | intensity |
| --- | --- | --- |
| 2.958 | 30.21 | 40 |
| 2.444 | 36.77 | 42 |
| 2.368 | 38.00 | 24 |
| 2.117 | 42.72 | 59 |
| 2.104 | 42.99 | 100 |
| 2.067 | 43.79 | 47 |
| 1.492 | 62.20 | 23 |
| 1.479 | 62.84 | 26 |
| 1.336 | 70.51 | 18 |
| 1.201 | 79.90 | 18 |

Crystal structure
Unit cell a=8.4666 b=8.4666 c=12.4048 alpha=90.00 beta=90.00 gamma=120.00
Space group R-3m (No. 166, hexagonal axes)
Unique sites:
Tb 0.0000 0.0000 0.1599
Fe 0.0000 0.0000 0.4036
Fe 0.0000 0.2953 0.5000
Fe 0.0000 0.5000 0.0000
Fe 0.0001 0.5000 0.3431